Starting from a DFT-relaxed cell (PBE+U, Alexandria), the X-ray powder pattern of CaLa2Ti2Cr2O12 was simulated for Cu Kα, 1.54184 Å.

The 10 most intense peaks (2θ = 10–90°), low angle first:
- 19.83°, I = 29.5
- 19.96°, I = 92.3
- 32.57°, I = 33.9
- 32.81°, I = 100.0
- 32.98°, I = 65.7
- 38.59°, I = 28.9
- 40.56°, I = 21.0
- 46.87°, I = 52.3
- 47.56°, I = 23.1
- 58.61°, I = 26.5

Crystal structure
```
data_CaLa2Ti2Cr2O12
_chemical_formula_sum 'Ca1 La2 Ti2 Cr2 O12'
_cell_length_a 5.433
_cell_length_b 5.461
_cell_length_c 7.749
_cell_angle_alpha 89.61
_cell_angle_beta 89.92
_cell_angle_gamma 89.18
_space_group_name_H-M_alt 'P 1'
_space_group_IT_number 1
_space_group_name_Hall 'P 1'
loop_
_atom_site_label
_atom_site_fract_x
_atom_site_fract_y
_atom_site_fract_z
Ca1 0.000 0.000 0.000
La1 0.493 0.502 0.999
La2 0.995 0.950 0.500
Ti1 0.494 0.986 0.740
Ti2 0.992 0.469 0.262
Cr1 0.497 0.975 0.249
Cr2 0.993 0.474 0.748
O1 0.051 0.467 0.500
O2 0.218 0.753 0.783
O3 0.224 0.752 0.215
O4 0.273 0.247 0.791
O5 0.282 0.239 0.211
O6 0.447 0.984 0.500
O7 0.563 0.952 0.001
O8 0.727 0.698 0.277
O9 0.734 0.690 0.724
O10 0.792 0.177 0.266
O11 0.793 0.178 0.733
O12 0.943 0.463 0.998
```